Theoretical X-ray diffraction stick pattern of CaPaWO6 for Cu Kα X-rays, from the PBE+U geometry in Alexandria.
Intensities are scaled so that the largest is 100.

Structural model:
```
CaPaWO6
1.0
5.6632 0.0000 0.0000
-2.8316 4.9045 0.0000
0.0000 0.0000 9.6557
Ca Pa W O
2 2 2 12
Direct
0.0000 0.0000 0.0000 Ca
0.0000 0.0000 0.5000 Ca
0.3333 0.6667 0.2500 Pa
0.6667 0.3333 0.7500 Pa
0.3333 0.6667 0.7500 W
0.6667 0.3333 0.2500 W
0.0221 0.3702 0.6408 O
0.0221 0.6519 0.8592 O
0.3481 0.3702 0.8592 O
0.3481 0.9779 0.6408 O
0.3702 0.0221 0.1408 O
0.3702 0.3481 0.3592 O
0.6298 0.6519 0.6408 O
0.6298 0.9779 0.8592 O
0.6519 0.0221 0.3592 O
0.6519 0.6298 0.1408 O
0.9779 0.3481 0.1408 O
0.9779 0.6298 0.3592 O
```

Largest 10 diffraction maxima, in order of falling intensity, 2θ = 10–90°:
3.441 Å, 2θ 25.90, I = 100.0, (1 0 2); 4.828 Å, 2θ 18.38, I = 89.1, (0 0 2); 2.443 Å, 2θ 36.80, I = 86.7, (1 1 2); 2.832 Å, 2θ 31.60, I = 78.1, (1 1 0); 1.837 Å, 2θ 49.63, I = 66.9, (1 1 4); 4.905 Å, 2θ 18.09, I = 53.4, (1 0 0); 1.731 Å, 2θ 52.91, I = 27.8, (2 1 2); 2.186 Å, 2θ 41.29, I = 27.7, (2 0 2); 1.635 Å, 2θ 56.27, I = 26.2, (3 0 0); 1.548 Å, 2θ 59.72, I = 24.0, (3 0 2)